# 1
The following is a theoretical powder diffraction line list of KNbTe3Pd. It was derived from a crystal structure in Alexandria, relaxed with GGA-PBE, using copper Kα.
Peak positions follow from Bragg's law for the DFT cell and can differ from measured ones.

The 6 most intense peaks (10 to 90 degrees two-theta), by angle:
2θ/deg	I_rel	hkl
10.8	1000	1 0 0
27.0	197	2 0 -3
30.1	415	2 1 -1
31.6	254	2 1 -2
41.0	275	2 1 2
45.9	172	0 2 0

```
KNbTe3Pd
1.0
8.953 0.000 0.000
0.000 3.957 0.000
-4.416 0.000 9.814
K Nb Te Pd
2 2 6 2
Direct
0.016 0.250 0.286 K
0.984 0.750 0.714 K
0.465 0.250 0.181 Nb
0.535 0.750 0.819 Nb
0.225 0.750 0.136 Te
0.304 0.750 0.558 Te
0.336 0.250 0.881 Te
0.664 0.750 0.119 Te
0.696 0.250 0.442 Te
0.775 0.250 0.864 Te
0.468 0.750 0.387 Pd
0.532 0.250 0.613 Pd
```

***

# 2
The following is a theoretical powder diffraction line list of Na2Yb2B2TeO10. It was derived from a crystal structure in Alexandria, relaxed with GGA-PBE, using copper Kα.
Peak positions follow from Bragg's law for the DFT cell and can differ from measured ones.

The 6 most intense peaks (10 to 90 degrees two-theta), by angle:
2θ/deg	I_rel	hkl
14.3	1000	1 0 0
16.8	377	1 1 0
26.9	398	0 0 2
29.8	641	0 3 1
30.3	397	2 1 0
31.7	401	1 3 -1

```
Na2Yb2B2TeO10
1.0
6.352 0.000 0.000
0.000 10.096 0.000
-1.599 0.000 6.624
Na Yb B Te O
4 4 4 2 20
Direct
0.087 0.111 0.166 Na
0.087 0.389 0.666 Na
0.913 0.611 0.334 Na
0.913 0.889 0.834 Na
0.377 0.666 0.976 Yb
0.377 0.834 0.476 Yb
0.623 0.166 0.524 Yb
0.623 0.334 0.024 Yb
0.162 0.099 0.634 B
0.162 0.401 0.134 B
0.838 0.599 0.866 B
0.838 0.901 0.366 B
0.500 0.000 0.000 Te
0.500 0.500 0.500 Te
0.016 0.674 0.939 O
0.016 0.826 0.439 O
0.204 0.058 0.838 O
0.204 0.442 0.338 O
0.297 0.061 0.512 O
0.297 0.439 0.012 O
0.341 0.616 0.638 O
0.341 0.884 0.138 O
0.490 0.149 0.176 O
0.490 0.351 0.676 O
0.510 0.649 0.324 O
0.510 0.851 0.824 O
0.659 0.116 0.862 O
0.659 0.384 0.362 O
0.703 0.561 0.988 O
0.703 0.939 0.488 O
0.796 0.558 0.662 O
0.796 0.942 0.162 O
0.984 0.174 0.561 O
0.984 0.326 0.061 O
```

***

# 3
The following is a theoretical powder diffraction line list of Li2SnPb2. It was derived from a crystal structure in Alexandria, relaxed with GGA-PBE, using copper Kα.
Peak positions follow from Bragg's law for the DFT cell and can differ from measured ones.

The 6 most intense peaks (10 to 90 degrees two-theta), by angle:
2θ/deg	I_rel	hkl
17.2	666	1 0 1
29.9	371	1 1 0
31.0	313	1 1 1
32.9	1000	2 0 -2
33.9	543	0 1 3
38.9	351	2 0 3

```
Li2SnPb2
1.0
5.895 0.000 0.000
0.000 3.474 0.000
-0.798 0.000 12.213
Li Sn Pb
4 2 4
Direct
0.132 0.250 0.418 Li
0.357 0.250 0.193 Li
0.643 0.750 0.807 Li
0.868 0.750 0.582 Li
0.071 0.250 0.769 Sn
0.929 0.750 0.231 Sn
0.248 0.750 0.981 Pb
0.376 0.750 0.600 Pb
0.624 0.250 0.400 Pb
0.752 0.250 0.019 Pb
```